Diffraction record for TbNd4Sm4. The powder X-ray diffraction pattern is calculated, not measured: it uses a crystal structure in Alexandria, relaxed with GGA-PBE and CuKα.
No peak broadening, texture or thermal motion is included.

Crystal structure
Cell lengths 5.162, 8.143, 8.148 Å; angles 107.59, 108.38, 90.04 degrees
Atoms (fractional coordinates):
Tb: 0.000 0.000 0.000
Nd: 0.222 0.334 0.444
Nd: 0.334 0.000 0.669
Nd: 0.666 0.000 0.331
Nd: 0.778 0.666 0.556
Sm: 0.110 0.667 0.221
Sm: 0.445 0.666 0.890
Sm: 0.555 0.334 0.110
Sm: 0.890 0.333 0.779

The 12 most intense peaks (2θ from 10° to 90°), most intense first:
d_spacing, two_theta, intensity
2.976, 30.0, 100
2.579, 34.8, 34
1.823, 50.0, 30
1.556, 59.4, 22
2.573, 34.9, 17
1.553, 59.5, 14
1.183, 81.4, 9
1.551, 59.6, 7
1.152, 84.0, 7
1.489, 62.4, 6
1.487, 62.5, 6
1.819, 50.2, 6



Diffraction record for Tb8NdSm5. The powder X-ray diffraction pattern is calculated, not measured: it uses a crystal structure in Alexandria, relaxed with GGA-PBE and CuKα.
No peak broadening, texture or thermal motion is included.

Crystal structure
Cell lengths 8.889, 8.889, 16.872 Å; angles 117.46, 117.46, 23.08 degrees
Atoms (fractional coordinates):
Tb: 0.080 0.080 0.223
Tb: 0.147 0.147 0.940
Tb: 0.215 0.215 0.645
Tb: 0.419 0.419 0.277
Tb: 0.581 0.581 0.723
Tb: 0.785 0.785 0.355
Tb: 0.853 0.853 0.060
Tb: 0.920 0.920 0.777
Nd: 0.500 0.500 0.000
Sm: 0.000 0.000 0.500
Sm: 0.286 0.286 0.856
Sm: 0.354 0.354 0.558
Sm: 0.646 0.646 0.442
Sm: 0.714 0.714 0.144

The 12 most intense peaks (2θ from 10° to 90°), most intense first:
d_spacing, two_theta, intensity
2.876, 31.1, 100
2.862, 31.2, 48
2.758, 32.5, 45
2.732, 32.8, 44
2.994, 29.8, 37
1.511, 61.3, 29
1.905, 47.7, 19
1.495, 62.1, 14
2.182, 41.4, 14
1.778, 51.4, 13
1.979, 45.9, 12
1.596, 57.8, 11



Diffraction record for TbNd7Sm3. The powder X-ray diffraction pattern is calculated, not measured: it uses a crystal structure in Alexandria, relaxed with GGA-PBE and CuKα.
No peak broadening, texture or thermal motion is included.

Crystal structure
Cell lengths 8.619, 8.619, 5.976 Å; angles 110.22, 110.22, 82.96 degrees
Atoms (fractional coordinates):
Tb: 0.000 0.000 0.000
Nd: 0.000 0.000 0.500
Nd: 0.097 0.509 0.803
Nd: 0.291 0.291 0.291
Nd: 0.491 0.903 0.197
Nd: 0.509 0.097 0.803
Nd: 0.709 0.709 0.709
Nd: 0.903 0.491 0.197
Sm: 0.293 0.707 0.500
Sm: 0.500 0.500 0.000
Sm: 0.707 0.293 0.500

The 12 most intense peaks (2θ from 10° to 90°), most intense first:
d_spacing, two_theta, intensity
2.802, 31.9, 100
2.988, 29.9, 40
1.687, 54.4, 22
3.617, 24.6, 18
2.855, 31.3, 17
2.865, 31.2, 15
2.064, 43.9, 14
2.068, 43.8, 12
3.215, 27.7, 11
2.304, 39.1, 10
1.517, 61.1, 10
1.522, 60.9, 9